For Cu6GeSb, a cell relaxed with GGA-PBE gives the calculated X-ray diffraction stick pattern in this record (a wavelength of 1.5418 Å).

Principal peaks in the range 2θ from 10° to 80°, in order of rising 2θ:
| d (Å) | Position (°2θ) | I_rel | (hkl) |
| --- | --- | --- | --- |
| 3.786 | 23.50 | 17 | 0 0 2 |
| 3.682 | 24.17 | 14 | 1 0 0 |
| 2.640 | 33.96 | 17 | 1 0 2 |
| 2.126 | 42.52 | 100 | 1 1 0 |
| 2.082 | 43.47 | 83 | 1 0 3 |
| 1.487 | 62.43 | 27 | 2 0 3 |
| 1.227 | 77.82 | 15 | 3 0 0 |
| 1.219 | 78.47 | 27 | 2 1 3 |

```
data_Cu6GeSb
_chemical_formula_sum 'Cu6 Ge1 Sb1'
_cell_length_a 4.2519
_cell_length_b 4.2519
_cell_length_c 7.5728
_cell_angle_alpha 90.00
_cell_angle_beta 90.00
_cell_angle_gamma 120.00
_symmetry_space_group_name_H-M 'P -6 m 2'
_symmetry_Int_Tables_number 187
_symmetry_space_group_name_Hall 'P -6 2'
loop_
_atom_site_label
_atom_site_type_symbol
_atom_site_fract_x
_atom_site_fract_y
_atom_site_fract_z
Cu1 Cu 0.0000 0.0000 0.0000
Cu2 Cu 0.0000 0.0000 0.5000
Cu3 Cu 0.3333 0.6667 0.1768
Cu4 Cu 0.6667 0.3333 0.3418
Ge1 Ge 0.3333 0.6667 0.5000
Sb1 Sb 0.6667 0.3333 0.0000
```